No. 1
Structure and simulated PXRD pattern of KNaNbOF5 (a PBE-relaxed structure; a wavelength of 1.5418 Å).

Atomic structure:
```
KNaNbOF5
1.0
12.1229 0.0000 0.0000
0.0000 5.9891 0.0000
0.0000 0.0000 8.3107
K Na Nb O F
4 4 4 4 20
direct
0.0399 0.0312 0.0000
0.4601 0.5312 0.5000
0.5399 0.4688 0.0000
0.9601 0.9688 0.5000
0.1374 0.5478 0.2449
0.3626 0.0478 0.7449
0.6374 0.9522 0.2449
0.8626 0.4522 0.7449
0.1516 0.5398 0.7374
0.3484 0.0398 0.2374
0.6516 0.9602 0.7374
0.8484 0.4602 0.2374
0.2231 0.8975 0.1938
0.2769 0.3975 0.6938
0.7231 0.6025 0.1938
0.7769 0.1025 0.6938
0.0017 0.2831 0.2743
0.0460 0.2853 0.7038
0.1263 0.6472 0.5141
0.1418 0.4611 0.9698
0.2133 0.8329 0.8005
0.2867 0.3329 0.3005
0.3582 0.9611 0.4698
0.3737 0.1472 0.0141
0.4540 0.7853 0.2038
0.4983 0.7831 0.7743
0.5017 0.2169 0.2743
0.5460 0.2147 0.7038
0.6263 0.8528 0.5141
0.6418 0.0389 0.9698
0.7133 0.6671 0.8005
0.7867 0.1671 0.3005
0.8582 0.5389 0.4698
0.8737 0.3528 0.0141
0.9540 0.7147 0.2038
0.9983 0.7169 0.7743
```

Main lines, by angle (2θ = 10–90°):
(hkl)  2θ/deg  I_rel
1 1 0  16.5  449
2 0 1  18.1  916
1 1 1  19.7  946
0 0 2  21.4  466
3 1 0  26.6  1000
1 1 2  27.1  763
0 2 0  29.8  222
0 1 3  35.7  206
2 2 2  40.0  230
0 0 4  43.6  304
4 2 2  48.0  309
3 1 4  51.8  317

***

No. 2
Structure and simulated PXRD pattern of CsPu2HgBr8 (a PBE-relaxed structure; a wavelength of 1.5418 Å).

Atomic structure:
```
CsPu2HgBr8
1.0
7.1016 0.0000 0.0000
-0.0695 8.5945 0.0000
-0.0269 -0.0231 8.6286
Cs Pu Hg Br
1 2 1 8
direct
0.0000 0.0000 0.0000
0.5001 0.5001 0.2515
0.4999 0.4999 0.7485
0.0000 0.0000 0.5000
0.2546 0.4030 0.9992
0.2568 0.4038 0.4990
0.3391 0.7872 0.2502
0.3389 0.7870 0.7505
0.6611 0.2130 0.2495
0.6609 0.2128 0.7498
0.7432 0.5962 0.5010
0.7454 0.5970 0.0008
```

Main lines, by angle (2θ = 10–90°):
(hkl)  2θ/deg  I_rel
0 1 0  10.3  385
1 -1 0  16.1  583
1 1 0  16.3  890
0 2 0  20.7  280
1 0 2  24.1  1000
1 2 -2  32.0  264
2 -2 0  32.6  240
1 -3 0  33.6  444
2 1 -2  34.3  659
2 1 2  34.5  393
0 0 4  41.9  248
3 -2 2  48.6  307